For Mn3O4, the GGA+U geometry in Alexandria gives the calculated powder XRD pattern in this record (Cu Kα X-rays).
Lines closer than 0.1° are merged.

Structural model:
```
data_Mn3O4
_chemical_formula_sum 'Mn12 O16'
_cell_length_a 5.9047
_cell_length_b 5.9047
_cell_length_c 9.5663
_cell_angle_alpha 90.00
_cell_angle_beta 90.00
_cell_angle_gamma 90.00
_symmetry_space_group_name_H-M 'I 41/a m d'
_symmetry_Int_Tables_number 141
loop_
_symmetry_equiv_pos_as_xyz
'x,y,z'
'-x,-y,-z'
'-y+1/4,x+3/4,z+1/4'
'y+1/4,-x+3/4,-z+1/4'
'-x+1/2,-y,z+1/2'
'x+1/2,y,-z+1/2'
'y+1/4,-x+1/4,z+3/4'
'-y+1/4,x+1/4,-z+3/4'
'x,-y,-z'
'-x,y,z'
'-y+1/4,-x+1/4,-z+3/4'
'y+1/4,x+1/4,z+3/4'
'-x+1/2,y,-z+1/2'
'x+1/2,-y,z+1/2'
'y+1/4,x+3/4,-z+1/4'
'-y+1/4,-x+3/4,z+1/4'
'x+1/2,y+1/2,z+1/2'
'-x+1/2,-y+1/2,-z+1/2'
'-y+3/4,x+1/4,z+3/4'
'y+3/4,-x+1/4,-z+3/4'
'-x,-y+1/2,z'
'x,y+1/2,-z'
'y+3/4,-x+3/4,z+1/4'
'-y+3/4,x+3/4,-z+1/4'
'x+1/2,-y+1/2,-z+1/2'
'-x+1/2,y+1/2,z+1/2'
'-y+3/4,-x+3/4,-z+1/4'
'y+3/4,x+3/4,z+1/4'
'-x,y+1/2,-z'
'x,-y+1/2,z'
'y+3/4,x+1/4,-z+3/4'
'-y+3/4,-x+1/4,z+3/4'
loop_
_atom_site_label
_atom_site_type_symbol
_atom_site_fract_x
_atom_site_fract_y
_atom_site_fract_z
_atom_site_occupancy
Mn1 Mn 0.0000 0.0000 0.0000 1
Mn2 Mn 0.0000 0.2500 0.3750 1
O1 O 0.0000 0.0275 0.7578 1
```

The 6 most intense peaks (2θ from 10° to 80°), by intensity:
hkl  2theta  intensity
2 1 1  35.26  100
1 0 3  31.90  74
2 2 4  58.70  59
1 1 2  28.37  36
3 2 1  57.06  33
1 0 5  50.12  24